(1)
Starting from DFT lattice parameters and positions (GGA-PBE), the powder diffractogram of Tl2ZnHg4 was simulated for CuKα.
No peak broadening, texture or thermal motion is included.

Top 10 peaks for 2θ = 10–90°, by angle:
2theta  intensity
32.2  100.0
35.0  19.8
35.6  13.3
38.4  15.7
46.7  9.4
54.3  12.1
59.1  13.4
61.1  16.5
66.3  18.6
69.7  11.7

Cell lengths 11.949, 11.949, 5.121 Å; angles 90.00, 90.00, 90.00 degrees
Space group I4/mcm (No. 140)
Asymmetric unit:
1 Tl 0.110 0.390 0.000 x8
2 Zn 0.000 0.000 0.250 x4
3 Hg 0.101 0.208 0.500 x16


(2)
Starting from DFT lattice parameters and positions (GGA-PBE), the powder diffractogram of CdAsP2 was simulated for CuKα.
No peak broadening, texture or thermal motion is included.

Top 10 peaks for 2θ = 10–90°, by angle:
2theta  intensity
28.5  100.0
28.7  52.6
34.9  85.5
45.8  56.1
50.3  29.1
50.7  42.3
58.8  25.4
58.9  25.8
74.2  26.6
84.3  12.9

Cell lengths 3.631, 3.631, 6.216 Å; angles 90.00, 90.00, 90.00 degrees
Space group P4mm (No. 99)
Asymmetric unit:
1 Cd 0.000 0.000 0.000 x1
2 As 0.500 0.500 0.499 x1
3 P 0.000 0.000 0.579 x1
4 P 0.500 0.500 0.127 x1


(3)
Starting from DFT lattice parameters and positions (GGA-PBE), the powder diffractogram of K6Hg5Au was simulated for CuKα.
No peak broadening, texture or thermal motion is included.

Top 10 peaks for 2θ = 10–90°, by angle:
2theta  intensity
19.9  58.1
21.6  44.3
22.2  27.4
29.6  100.0
29.9  39.3
30.1  31.5
31.2  65.9
37.2  18.5
40.5  18.7
52.1  22.1

Cell lengths 5.965, 8.220, 9.176 Å; angles 90.00, 102.63, 90.00 degrees
Space group P2/m (No. 10)
Asymmetric unit:
1 K 0.000 0.236 0.000 x2
2 K 0.388 0.245 0.686 x4
3 Hg 0.115 0.500 0.360 x2
4 Hg 0.122 0.000 0.367 x2
5 Hg 0.500 0.500 0.000 x1
6 Au 0.500 0.000 0.000 x1


(4)
Starting from DFT lattice parameters and positions (GGA-PBE), the powder diffractogram of Tb3Dy2Tm5 was simulated for CuKα.
No peak broadening, texture or thermal motion is included.

Top 10 peaks for 2θ = 10–90°, by angle:
2theta  intensity
30.8  100.0
32.7  10.8
33.9  23.3
38.7  8.3
38.9  8.3
49.9  10.2
58.8  16.2
61.7  10.7
67.3  9.7
67.5  10.9

Cell lengths 10.565, 15.545, 9.365 Å; angles 90.00, 124.32, 90.00 degrees
Space group C2/c (No. 15)
Asymmetric unit:
1 Tb 0.000 0.231 0.250 x4
2 Tb 0.150 0.122 0.048 x8
3 Dy 0.148 0.379 0.548 x8
4 Tm 0.000 0.027 0.250 x4
5 Tm 0.000 0.270 0.750 x4
6 Tm 0.000 0.474 0.750 x4
7 Tm 0.248 0.115 0.748 x8